Theoretical PXRD pattern of TmFe4Cu3O12 for CuKα, from DFT lattice parameters and positions (GGA+U).
Lines closer than 0.1° are merged.

Structure:
```
data_TmFe4Cu3O12
_cell_length_a 7.4480
_cell_length_b 7.4480
_cell_length_c 7.4480
_cell_angle_alpha 90.00
_cell_angle_beta 90.00
_cell_angle_gamma 90.00
_space_group_name_H-M_alt 'I m -3'
_space_group_IT_number 204
_space_group_name_Hall '-I 2 2 3'
loop_
_atom_site_label
_atom_site_fract_x
_atom_site_fract_y
_atom_site_fract_z
Tm1 0.0000 0.0000 0.0000
Fe1 0.2500 0.2500 0.2500
Cu1 0.0000 0.0000 0.5000
O1 0.0000 0.1637 0.3064
```

Main lines, in order of rising 2θ (2θ from 5° to 70°):
2θ (°)  I_rel  index
16.83  17  1 1 0
34.05  100  2 2 0
38.21  11  3 1 0
45.57  11  3 2 1
48.92  24  4 0 0
60.94  47  4 2 2

Theoretical PXRD pattern of Li5FeO4 for CuKα, from DFT lattice parameters and positions (GGA+U).
Lines closer than 0.1° are merged.

Structure:
```
data_Li5FeO4
_cell_length_a 5.6209
_cell_length_b 6.8280
_cell_length_c 11.0308
_cell_angle_alpha 89.48
_cell_angle_beta 77.51
_cell_angle_gamma 89.64
_space_group_name_H-M_alt 'P 1'
_space_group_IT_number 1
_space_group_name_Hall 'P 1'
loop_
_atom_site_label
_atom_site_fract_x
_atom_site_fract_y
_atom_site_fract_z
Li1 0.0000 0.0000 0.0000
Li2 0.0020 0.2698 0.8300
Li3 0.0252 0.5051 0.3470
Li4 0.1256 0.5040 0.9586
Li5 0.1950 0.2885 0.1055
Li6 0.2481 0.7334 0.0839
Li7 0.3145 0.7756 0.7244
Li8 0.4030 0.2830 0.3633
Li9 0.4057 0.9996 0.8648
Li10 0.4091 0.7338 0.3681
Li11 0.4860 0.0092 0.5140
Li12 0.5198 0.4972 0.8216
Li13 0.5938 0.2237 0.9755
Li14 0.6198 0.5010 0.4642
Li15 0.6910 0.2768 0.6099
Li16 0.7237 0.7288 0.5943
Li17 0.8138 0.2229 0.2357
Li18 0.8346 0.7888 0.2315
Li19 0.9010 0.7196 0.8647
Li20 0.9574 0.0143 0.3987
Fe1 0.1843 0.4920 0.6023
Fe2 0.3379 0.0067 0.2181
Fe3 0.6883 0.5142 0.1044
Fe4 0.8327 0.9957 0.7261
O1 0.0933 0.9796 0.8136
O2 0.1341 0.2271 0.2828
O3 0.1491 0.7811 0.2782
O4 0.1569 0.5176 0.7828
O5 0.3430 0.0244 0.0462
O6 0.3978 0.7154 0.5437
O7 0.4034 0.2905 0.5329
O8 0.4193 0.4873 0.0257
O9 0.6028 0.0033 0.3014
O10 0.6274 0.7747 0.7836
O11 0.6545 0.5064 0.2823
O12 0.6660 0.2271 0.7973
O13 0.8072 0.0053 0.5616
O14 0.8880 0.2856 0.0440
O15 0.9050 0.4988 0.5313
O16 0.9137 0.7194 0.0469
```

Main lines, in order of rising 2θ (2θ from 5° to 70°):
2θ (°)  I_rel  index
16.46  71  0 0 2
20.93  54  0 1 2
21.10  69  0 1 -2
23.64  100  -1 1 1
32.90  43  -1 2 1
33.28  34  0 0 4

Theoretical PXRD pattern of BaSrTbCrO6 for CuKα, from DFT lattice parameters and positions (GGA+U).
Lines closer than 0.1° are merged.

Structure:
```
data_BaSrTbCrO6
_cell_length_a 8.2841
_cell_length_b 8.2841
_cell_length_c 8.2841
_cell_angle_alpha 90.00
_cell_angle_beta 90.00
_cell_angle_gamma 90.00
_space_group_name_H-M_alt 'F -4 3 m'
_space_group_IT_number 216
_space_group_name_Hall 'F -4 2 3'
loop_
_atom_site_label
_atom_site_fract_x
_atom_site_fract_y
_atom_site_fract_z
Ba1 0.0000 0.0000 0.0000
Sr1 0.0000 0.0000 0.5000
Tb1 0.2500 0.2500 0.7500
Cr1 0.2500 0.2500 0.2500
O1 0.0198 0.2500 0.2500
```

Main lines, in order of rising 2θ (2θ from 5° to 70°):
2θ (°)  I_rel  index
18.55  13  1 1 1
30.52  100  2 2 0
35.96  11  3 1 1
43.71  31  4 0 0
54.25  39  4 2 2
63.53  19  4 4 0

Theoretical PXRD pattern of Li9Mn2Co5O16 for CuKα, from DFT lattice parameters and positions (GGA+U).
Lines closer than 0.1° are merged.

Structure:
```
data_Li9Mn2Co5O16
_cell_length_a 2.9665
_cell_length_b 6.4575
_cell_length_c 15.4151
_cell_angle_alpha 88.33
_cell_angle_beta 86.99
_cell_angle_gamma 76.96
_space_group_name_H-M_alt 'P 1'
_space_group_IT_number 1
_space_group_name_Hall 'P 1'
loop_
_atom_site_label
_atom_site_fract_x
_atom_site_fract_y
_atom_site_fract_z
Li1 0.0000 0.0000 0.0000
Li2 0.0260 0.8878 0.1776
Li3 0.1658 0.6394 0.5598
Li4 0.2814 0.3813 0.9320
Li5 0.4208 0.1353 0.3108
Li6 0.5416 0.8827 0.6852
Li7 0.6566 0.6519 0.0564
Li8 0.7952 0.3798 0.4353
Li9 0.9244 0.1304 0.8079
Mn1 0.0920 0.7622 0.3729
Mn2 0.3579 0.2477 0.1163
Co1 0.2244 0.5102 0.7474
Co2 0.4829 0.0144 0.4985
Co3 0.6064 0.7697 0.8756
Co4 0.7111 0.5183 0.2437
Co5 0.8456 0.2642 0.6219
O1 0.0389 0.9666 0.5888
O2 0.0560 0.7996 0.7806
O3 0.1734 0.6969 0.9557
O4 0.1915 0.5555 0.1567
O5 0.2457 0.4605 0.3344
O6 0.3447 0.3078 0.5308
O7 0.3595 0.2177 0.7135
O8 0.4632 0.0409 0.8952
O9 0.5045 0.9654 0.0917
O10 0.5225 0.8168 0.2812
O11 0.6535 0.7153 0.4663
O12 0.6675 0.5581 0.6557
O13 0.7772 0.4721 0.8373
O14 0.8456 0.3155 0.0383
O15 0.8537 0.2124 0.2032
O16 0.9192 0.0634 0.4074
```

Main lines, in order of rising 2θ (2θ from 5° to 70°):
2θ (°)  I_rel  index
5.74  19  0 0 1
18.38  100  0 1 -2
34.87  18  1 1 3
41.88  32  1 0 5
44.23  26  1 1 -5
44.59  25  0 3 2

Theoretical PXRD pattern of LiMnPH2O5 for CuKα, from DFT lattice parameters and positions (GGA+U).
Lines closer than 0.1° are merged.

Structure:
```
data_LiMnPH2O5
_cell_length_a 5.8414
_cell_length_b 4.7367
_cell_length_c 8.2116
_cell_angle_alpha 90.00
_cell_angle_beta 90.02
_cell_angle_gamma 90.00
_space_group_name_H-M_alt 'P 1 21 1'
_space_group_IT_number 4
_space_group_name_Hall 'P 2yb'
loop_
_atom_site_label
_atom_site_fract_x
_atom_site_fract_y
_atom_site_fract_z
Li1 0.2494 0.0000 0.0738
Mn1 0.2490 0.0725 0.5266
P1 0.2504 0.4937 0.2735
H1 0.1174 0.5355 0.7087
H2 0.3827 0.5364 0.7079
O1 0.0386 0.3653 0.3682
O2 0.2493 0.4015 0.0948
O3 0.2503 0.4080 0.7180
O4 0.2499 0.8196 0.2891
O5 0.4630 0.3657 0.3671
```

Main lines, in order of rising 2θ (2θ from 5° to 70°):
2θ (°)  I_rel  index
10.77  100  0 0 1
18.64  16  1 0 1
26.55  24  1 1 -1
30.61  19  2 0 0
32.68  40  1 1 2
41.10  11  1 1 3

Theoretical PXRD pattern of Li4MnO3F for CuKα, from DFT lattice parameters and positions (GGA+U).
Lines closer than 0.1° are merged.

Structure:
```
data_Li4MnO3F
_cell_length_a 8.2455
_cell_length_b 7.0634
_cell_length_c 6.4598
_cell_angle_alpha 90.00
_cell_angle_beta 90.00
_cell_angle_gamma 90.00
_space_group_name_H-M_alt 'C m c 21'
_space_group_IT_number 36
_space_group_name_Hall 'C 2c -2'
loop_
_atom_site_label
_atom_site_fract_x
_atom_site_fract_y
_atom_site_fract_z
Li1 0.1533 0.2275 0.0000
Li2 0.1611 0.4918 0.7578
Mn1 0.0000 0.1321 0.5391
O1 0.0000 0.2835 0.7732
O2 0.2142 0.0446 0.5126
F1 0.0000 0.2900 0.2410
```

Main lines, in order of rising 2θ (2θ from 5° to 70°):
2θ (°)  I_rel  index
16.53  51  1 1 0
21.54  100  2 0 0
28.81  68  0 2 1
32.35  64  1 1 2
33.41  35  2 2 0
37.77  27  3 1 1

Theoretical PXRD pattern of Li9Mn2Co5O16 for CuKα, from DFT lattice parameters and positions (GGA+U).
Lines closer than 0.1° are merged.

Structure:
```
data_Li9Mn2Co5O16
_cell_length_a 5.1639
_cell_length_b 2.8914
_cell_length_c 19.4177
_cell_angle_alpha 90.00
_cell_angle_beta 96.61
_cell_angle_gamma 90.00
_space_group_name_H-M_alt 'P 1 m 1'
_space_group_IT_number 6
_space_group_name_Hall 'P -2y'
loop_
_atom_site_label
_atom_site_fract_x
_atom_site_fract_y
_atom_site_fract_z
Li1 0.0000 0.0000 0.0000
Li2 0.0177 0.5000 0.5002
Li3 0.1414 0.0000 0.3713
Li4 0.2639 0.5000 0.2464
Li5 0.3869 0.0000 0.1244
Li6 0.5289 0.5000 0.9988
Li7 0.6486 0.0000 0.8808
Li8 0.7556 0.5000 0.7491
Li9 0.8844 0.0000 0.6239
Mn1 0.1228 0.5000 0.8792
Mn2 0.5101 0.0000 0.4975
Co1 0.2591 0.0000 0.7514
Co2 0.3840 0.5000 0.6258
Co3 0.6529 0.5000 0.3710
Co4 0.7850 0.0000 0.2468
Co5 0.8928 0.5000 0.1182
O1 0.0674 0.0000 0.1850
O2 0.1051 0.5000 0.6932
O3 0.1546 0.5000 0.0710
O4 0.2024 0.0000 0.5684
O5 0.3104 0.0000 0.9305
O6 0.3407 0.5000 0.4400
O7 0.4036 0.5000 0.8104
O8 0.4891 0.0000 0.3145
O9 0.5661 0.0000 0.6845
O10 0.6201 0.5000 0.1852
O11 0.6752 0.5000 0.5573
O12 0.6958 0.0000 0.0658
O13 0.8127 0.0000 0.4275
O14 0.8527 0.5000 0.9325
O15 0.9503 0.5000 0.3061
O16 0.9612 0.0000 0.8192
```

Main lines, in order of rising 2θ (2θ from 5° to 70°):
2θ (°)  I_rel  index
18.40  100  1 0 1
35.15  15  1 0 -7
36.22  26  0 1 4
42.48  28  2 0 -6
44.03  53  1 1 5
62.84  28  1 1 -11